The following is a computed powder X-ray diffraction pattern of DyAlNi4. It was derived from a structure optimized by DFT (PBE), using a wavelength of 1.5418 Å.
Kinematic intensities with the Lorentz-polarization factor, no thermal factor.

Crystal structure
Cell: 5.0298 5.0298 3.8576 Å, 90.00 90.00 120.00°
Element x y z (fractional)
Dy 0.0000 0.0000 0.0000
Al 0.3333 0.6667 0.0000
Ni 0.5022 0.0044 0.5000
Ni 0.5022 0.4978 0.5000
Ni 0.6667 0.3333 0.0000
Ni 0.9956 0.4978 0.5000

Principal peaks in the range 10 to 90 degrees two-theta, in order of rising 2θ:
| 2θ (°) | d [Å] | I_rel |
| --- | --- | --- |
| 30.97 | 2.888 | 81 |
| 35.70 | 2.515 | 29 |
| 41.46 | 2.178 | 53 |
| 42.93 | 2.107 | 100 |
| 47.12 | 1.929 | 25 |
| 61.21 | 1.514 | 23 |
| 64.54 | 1.444 | 27 |
| 69.13 | 1.359 | 23 |
| 75.63 | 1.257 | 17 |
| 84.65 | 1.145 | 13 |